[1]
Zn3Cu8Rh: simulated XRD peak list (Cu Kα X-rays), based on DFT lattice parameters and positions (PBE).
No peak broadening, texture or thermal motion is included.

Crystal structure
Unit cell a=6.368 b=6.368 c=6.368 alpha=116.95 beta=116.95 gamma=95.37
Sites, in units of the cell vectors:
1 Zn 0.000 0.000 0.000
2 Zn 0.250 0.750 0.500
3 Zn 0.750 0.250 0.500
4 Cu 0.106 0.106 0.732
5 Cu 0.226 0.226 0.488
6 Cu 0.262 0.774 0.000
7 Cu 0.374 0.374 0.268
8 Cu 0.626 0.894 0.000
9 Cu 0.738 0.738 0.512
10 Cu 0.774 0.262 0.000
11 Cu 0.894 0.626 0.000
12 Rh 0.500 0.500 0.000

Peak list (10 most intense, 2θ from 10° to 90°, by angle)
Position (°2θ)	Rel. int.
18.8	33
28.2	42
31.8	63
34.1	27
38.2	79
42.2	58
43.9	53
48.1	100
58.2	41
59.6	41


[2]
Ti7Al2O15: simulated XRD peak list (Cu Kα X-rays), based on DFT lattice parameters and positions (PBE).
No peak broadening, texture or thermal motion is included.

Crystal structure
Unit cell a=9.215 b=9.215 c=9.545 alpha=98.33 beta=98.33 gamma=18.69
Sites, in units of the cell vectors:
1 Ti 0.000 0.000 0.000
2 Ti 0.189 0.189 0.384
3 Ti 0.322 0.322 0.953
4 Ti 0.490 0.490 0.649
5 Ti 0.510 0.510 0.351
6 Ti 0.678 0.678 0.047
7 Ti 0.811 0.811 0.616
8 Al 0.158 0.158 0.723
9 Al 0.842 0.842 0.277
10 O 0.000 0.000 0.500
11 O 0.008 0.008 0.215
12 O 0.186 0.186 0.184
13 O 0.200 0.200 0.907
14 O 0.227 0.227 0.604
15 O 0.380 0.380 0.606
16 O 0.393 0.393 0.305
17 O 0.426 0.426 0.992
18 O 0.574 0.574 0.008
19 O 0.607 0.607 0.695
20 O 0.620 0.620 0.394
21 O 0.773 0.773 0.396
22 O 0.800 0.800 0.093
23 O 0.814 0.814 0.816
24 O 0.992 0.992 0.785

Peak list (10 most intense, 2θ from 10° to 90°, by angle)
Position (°2θ)	Rel. int.
28.4	85
28.6	48
29.8	100
34.2	44
35.5	57
37.5	47
49.8	32
56.4	46
62.0	32
65.4	44


[3]
LaCu5S4: simulated XRD peak list (Cu Kα X-rays), based on DFT lattice parameters and positions (PBE).
No peak broadening, texture or thermal motion is included.

Crystal structure
Unit cell a=7.494 b=7.494 c=7.494 alpha=149.68 beta=123.93 gamma=65.08
Sites, in units of the cell vectors:
1 La 0.000 0.000 0.000
2 Cu 0.019 0.318 0.701
3 Cu 0.382 0.682 0.701
4 Cu 0.500 0.000 0.500
5 Cu 0.618 0.318 0.299
6 Cu 0.981 0.682 0.299
7 S 0.230 0.230 0.000
8 S 0.286 0.500 0.786
9 S 0.714 0.500 0.214
10 S 0.770 0.770 0.000

Peak list (10 most intense, 2θ from 10° to 90°, by angle)
Position (°2θ)	Rel. int.
14.4	29
28.3	28
29.0	31
31.2	73
35.0	100
42.9	22
44.2	17
45.0	18
46.3	30
50.2	61


[4]
TbNdZnCu: simulated XRD peak list (Cu Kα X-rays), based on DFT lattice parameters and positions (PBE).
No peak broadening, texture or thermal motion is included.

Crystal structure
Unit cell a=3.580 b=3.580 c=7.205 alpha=90.00 beta=90.00 gamma=90.00
Sites, in units of the cell vectors:
1 Tb 0.000 0.000 0.000
2 Nd 0.000 0.000 0.512
3 Zn 0.500 0.500 0.244
4 Cu 0.500 0.500 0.779

Peak list (10 most intense, 2θ from 10° to 90°, by angle)
Position (°2θ)	Rel. int.
24.7	9
24.9	17
35.3	100
35.5	51
50.7	8
51.0	18
63.4	17
63.6	35
74.8	10
85.8	15


[5]
NaTiTl: simulated XRD peak list (Cu Kα X-rays), based on DFT lattice parameters and positions (PBE).
No peak broadening, texture or thermal motion is included.

Crystal structure
Unit cell a=3.315 b=3.558 c=12.239 alpha=90.00 beta=90.00 gamma=90.00
Sites, in units of the cell vectors:
1 Na 0.250 0.250 0.118
2 Na 0.750 0.750 0.882
3 Ti 0.250 0.250 0.442
4 Ti 0.750 0.750 0.558
5 Tl 0.250 0.250 0.703
6 Tl 0.750 0.750 0.297

Peak list (10 most intense, 2θ from 10° to 90°, by angle)
Position (°2θ)	Rel. int.
14.5	100
26.1	80
27.9	68
33.4	62
34.9	55
37.1	97
38.8	60
40.0	36
40.1	55
53.2	41


[6]
BaAlAu: simulated XRD peak list (Cu Kα X-rays), based on DFT lattice parameters and positions (PBE).
No peak broadening, texture or thermal motion is included.

Crystal structure
Unit cell a=7.051 b=7.051 c=7.051 alpha=90.00 beta=90.00 gamma=90.00
Sites, in units of the cell vectors:
1 Ba 0.140 0.140 0.140
2 Ba 0.360 0.860 0.640
3 Ba 0.640 0.360 0.860
4 Ba 0.860 0.640 0.360
5 Al 0.157 0.343 0.657
6 Al 0.343 0.657 0.157
7 Al 0.657 0.157 0.343
8 Al 0.843 0.843 0.843
9 Au 0.087 0.587 0.913
10 Au 0.413 0.413 0.413
11 Au 0.587 0.913 0.087
12 Au 0.913 0.087 0.587

Peak list (10 most intense, 2θ from 10° to 90°, by angle)
Position (°2θ)	Rel. int.
21.8	31
28.3	100
31.1	83
38.3	15
40.5	17
48.3	55
53.6	18
60.1	16
72.1	18
84.8	14


> Which formula does entry 3 have?

LaCu5S4